No. 1
SrNbAu: computed X-ray diffraction stick pattern (Cu Ka), based on a DFT-relaxed cell (PBE, Alexandria).

Crystal structure
```
data_SrNbAu
_symmetry_space_group_name_H-M 'P m m 2'
_symmetry_Int_Tables_number 25
_cell_length_a 3.5491
_cell_length_b 3.5676
_cell_length_c 11.6569
_cell_angle_alpha 90.00
_cell_angle_beta 90.00
_cell_angle_gamma 90.00
loop_
_symmetry_equiv_pos_as_xyz
'x,y,z'
'-x,-y,z'
'-x,y,z'
'x,-y,z'
loop_
_atom_site_label
_atom_site_type_symbol
_atom_site_fract_x
_atom_site_fract_y
_atom_site_fract_z
Sr1 Sr 0.0000 0.0000 0.0000
Sr2 Sr 0.0000 0.0000 0.3569
Nb1 Nb 0.0000 0.0000 0.6730
Nb2 Nb 0.5000 0.5000 0.5709
Au1 Au 0.5000 0.5000 0.1803
Au2 Au 0.5000 0.5000 0.8194
```

Principal peaks in the range 2θ = 10–90°, by angle:
15.20 deg, 5.828 Å, rel. 13, hkl 0 0 2; 29.35 deg, 3.043 Å, rel. 8, hkl 0 1 2; 29.47 deg, 3.031 Å, rel. 8, hkl 1 0 2; 34.17 deg, 2.624 Å, rel. 100, hkl 1 0 3; 35.68 deg, 2.516 Å, rel. 56, hkl 1 1 0; 46.57 deg, 1.950 Å, rel. 11, hkl 1 0 5; 51.21 deg, 1.784 Å, rel. 10, hkl 0 2 0; 51.50 deg, 1.775 Å, rel. 10, hkl 2 0 0; 53.59 deg, 1.710 Å, rel. 11, hkl 1 1 5; 60.18 deg, 1.538 Å, rel. 13, hkl 1 1 6; 63.04 deg, 1.475 Å, rel. 17, hkl 1 2 3; 63.23 deg, 1.471 Å, rel. 17, hkl 2 1 3



No. 2
SrNbAu: computed X-ray diffraction stick pattern (Cu Ka), based on a DFT-relaxed cell (PBE, Alexandria).

Crystal structure
```
data_SrNbAu
_symmetry_space_group_name_H-M 'I m m m'
_symmetry_Int_Tables_number 71
_symmetry_space_group_name_Hall '-I 2 2'
_cell_length_a 3.5510
_cell_length_b 4.4900
_cell_length_c 19.0938
_cell_angle_alpha 90.00
_cell_angle_beta 90.00
_cell_angle_gamma 90.00
loop_
_atom_site_label
_atom_site_type_symbol
_atom_site_fract_x
_atom_site_fract_y
_atom_site_fract_z
Sr1 Sr 0.0000 0.0000 0.1753
Nb1 Nb 0.0000 0.5000 0.0000
Nb2 Nb 0.0000 0.5000 0.5000
Au1 Au 0.0000 0.0000 0.3844
```

Principal peaks in the range 2θ = 10–90°, by angle:
18.59 deg, 4.773 Å, rel. 20, hkl 0 0 4; 20.32 deg, 4.371 Å, rel. 26, hkl 0 1 1; 30.74 deg, 2.909 Å, rel. 48, hkl 0 1 5; 32.14 deg, 2.785 Å, rel. 27, hkl 1 1 0; 33.52 deg, 2.674 Å, rel. 21, hkl 1 1 2; 34.49 deg, 2.600 Å, rel. 35, hkl 1 0 5; 37.38 deg, 2.406 Å, rel. 100, hkl 1 1 4; 40.17 deg, 2.245 Å, rel. 30, hkl 0 2 0; 47.39 deg, 1.918 Å, rel. 19, hkl 0 1 9; 50.09 deg, 1.821 Å, rel. 16, hkl 1 0 9; 53.96 deg, 1.699 Å, rel. 20, hkl 1 2 5; 67.21 deg, 1.393 Å, rel. 18, hkl 2 2 0



No. 3
Ta8Nb3Au: computed X-ray diffraction stick pattern (Cu Ka), based on a DFT-relaxed cell (PBE, Alexandria).

Crystal structure
```
data_Ta8Nb3Au
_symmetry_space_group_name_H-M 'P -3 m 1'
_symmetry_Int_Tables_number 164
_symmetry_space_group_name_Hall '-P 3 2"'
_cell_length_a 5.4567
_cell_length_b 5.4567
_cell_length_c 8.7673
_cell_angle_alpha 90.00
_cell_angle_beta 90.00
_cell_angle_gamma 120.00
loop_
_atom_site_label
_atom_site_type_symbol
_atom_site_fract_x
_atom_site_fract_y
_atom_site_fract_z
Ta1 Ta 0.1715 0.3431 0.2523
Ta2 Ta 0.3333 0.6667 0.9462
Nb1 Nb 0.0000 0.0000 0.5000
Nb2 Nb 0.3333 0.6667 0.5620
Au1 Au 0.0000 0.0000 0.0000
```

Principal peaks in the range 2θ = 10–90°, by angle:
10.09 deg, 8.767 Å, rel. 19, hkl 0 0 1; 32.83 deg, 2.728 Å, rel. 17, hkl 1 1 0; 36.14 deg, 2.486 Å, rel. 60, hkl 1 0 3; 38.88 deg, 2.316 Å, rel. 99, hkl 1 1 2; 39.50 deg, 2.281 Å, rel. 100, hkl 0 2 1; 41.19 deg, 2.192 Å, rel. 26, hkl 0 0 4; 43.51 deg, 2.080 Å, rel. 25, hkl 0 2 2; 60.77 deg, 1.524 Å, rel. 22, hkl 2 1 3; 62.67 deg, 1.482 Å, rel. 25, hkl 0 3 2; 66.39 deg, 1.408 Å, rel. 36, hkl 0 2 5; 68.82 deg, 1.364 Å, rel. 30, hkl 2 2 0; 83.46 deg, 1.158 Å, rel. 21, hkl 2 2 4



No. 4
TaNbAu: computed X-ray diffraction stick pattern (Cu Ka), based on a DFT-relaxed cell (PBE, Alexandria).

Crystal structure
```
data_TaNbAu
_symmetry_space_group_name_H-M 'P 1 21/m 1'
_symmetry_Int_Tables_number 11
_cell_length_a 2.8316
_cell_length_b 4.7912
_cell_length_c 7.9818
_cell_angle_alpha 90.00
_cell_angle_beta 94.52
_cell_angle_gamma 90.00
loop_
_symmetry_equiv_pos_as_xyz
'x,y,z'
'-x,-y,-z'
'-x,y+1/2,-z'
'x,-y+1/2,z'
loop_
_atom_site_label
_atom_site_type_symbol
_atom_site_fract_x
_atom_site_fract_y
_atom_site_fract_z
Ta1 Ta 0.1885 0.2500 0.0684
Nb1 Nb 0.4900 0.7500 0.2631
Au1 Au 0.0700 0.7500 0.5980
```

Principal peaks in the range 2θ = 10–90°, by angle:
21.65 deg, 4.105 Å, rel. 17, hkl 0 1 1; 37.56 deg, 2.394 Å, rel. 100, hkl 0 2 0; 38.81 deg, 2.320 Å, rel. 98, hkl 0 1 3; 39.47 deg, 2.283 Å, rel. 90, hkl 1 1 1; 42.22 deg, 2.141 Å, rel. 18, hkl 1 1 -2; 54.18 deg, 1.693 Å, rel. 29, hkl 1 2 -2; 58.86 deg, 1.569 Å, rel. 15, hkl 1 0 4; 68.20 deg, 1.375 Å, rel. 10, hkl 1 1 -5; 68.59 deg, 1.368 Å, rel. 19, hkl 0 3 3; 69.04 deg, 1.360 Å, rel. 18, hkl 1 3 1; 71.94 deg, 1.312 Å, rel. 20, hkl 1 2 4; 83.26 deg, 1.160 Å, rel. 16, hkl 0 2 6